# 1
This entry pairs a crystal structure of DyBe4Ni4 with its theoretical XRD peak list. Radiation: Cu Kα, 1.54184 Å. Structure: a GGA-PBE-relaxed structure.
Intensities are scaled so that the largest is 100.

Atomic structure:
```
DyBe4Ni4
1.0
7.253 0.000 0.000
0.000 7.253 0.000
0.000 0.000 4.097
Dy Be Ni
2 8 8
direct
0.250 0.250 0.250
0.750 0.750 0.750
0.049 0.907 0.173
0.093 0.549 0.673
0.407 0.951 0.673
0.451 0.593 0.173
0.549 0.407 0.827
0.593 0.049 0.327
0.907 0.451 0.327
0.951 0.093 0.827
0.127 0.871 0.662
0.129 0.627 0.162
0.371 0.873 0.162
0.373 0.629 0.662
0.627 0.371 0.338
0.629 0.127 0.838
0.871 0.373 0.838
0.873 0.129 0.338
```

Top 10 peaks for 2θ from 5° to 70°, in order of rising 2θ:
2θ = 24.55°, d 3.627, rel. 32, (2 0 0)
2θ = 24.96°, d 3.567, rel. 66, (1 0 1)
2θ = 34.99°, d 2.564, rel. 16, (2 2 0)
2θ = 35.29°, d 2.543, rel. 100, (2 1 1)
2θ = 39.28°, d 2.294, rel. 71, (3 1 0)
2θ = 43.46°, d 2.082, rel. 17, (3 0 1)
2θ = 46.04°, d 1.971, rel. 16, (1 0 2)
2θ = 50.55°, d 1.806, rel. 41, (2 3 1)
2θ = 60.61°, d 1.528, rel. 22, (3 1 2)
2θ = 65.63°, d 1.422, rel. 15, (1 5 0)

# 2
This entry pairs a crystal structure of Dy2BeSi3Ni4 with its theoretical XRD peak list. Radiation: Cu Kα, 1.54184 Å. Structure: a GGA-PBE-relaxed structure.
Intensities are scaled so that the largest is 100.

Atomic structure:
```
Dy2BeSi3Ni4
1.0
3.935 0.000 0.000
0.000 3.935 0.000
0.000 0.000 9.417
Dy Be Si Ni
2 1 3 4
direct
0.000 0.500 0.244
0.500 0.000 0.756
0.500 0.500 0.000
0.000 0.000 0.000
0.000 0.500 0.633
0.500 0.000 0.367
0.000 0.000 0.500
0.000 0.500 0.877
0.500 0.000 0.123
0.500 0.500 0.500
```

Top 10 peaks for 2θ from 5° to 70°, in order of rising 2θ:
2θ = 24.52°, d 3.631, rel. 43, (1 0 1)
2θ = 32.17°, d 2.782, rel. 38, (1 1 0)
2θ = 33.58°, d 2.668, rel. 15, (1 1 1)
2θ = 36.62°, d 2.454, rel. 91, (1 0 3)
2θ = 37.55°, d 2.395, rel. 100, (1 1 2)
2θ = 46.14°, d 1.968, rel. 52, (2 0 0)
2θ = 53.97°, d 1.699, rel. 30, (1 0 5)
2θ = 60.29°, d 1.535, rel. 42, (2 1 3)
2θ = 67.30°, d 1.391, rel. 16, (2 2 0)
2θ = 68.66°, d 1.367, rel. 15, (1 1 6)

Repeat the second record exactly.
This entry pairs a crystal structure of Dy2BeSi3Ni4 with its theoretical XRD peak list. Radiation: Cu Kα, 1.54184 Å. Structure: a GGA-PBE-relaxed structure.
Intensities are scaled so that the largest is 100.

Atomic structure:
```
Dy2BeSi3Ni4
1.0
3.935 0.000 0.000
0.000 3.935 0.000
0.000 0.000 9.417
Dy Be Si Ni
2 1 3 4
direct
0.000 0.500 0.244
0.500 0.000 0.756
0.500 0.500 0.000
0.000 0.000 0.000
0.000 0.500 0.633
0.500 0.000 0.367
0.000 0.000 0.500
0.000 0.500 0.877
0.500 0.000 0.123
0.500 0.500 0.500
```

Top 10 peaks for 2θ from 5° to 70°, in order of rising 2θ:
2θ = 24.52°, d 3.631, rel. 43, (1 0 1)
2θ = 32.17°, d 2.782, rel. 38, (1 1 0)
2θ = 33.58°, d 2.668, rel. 15, (1 1 1)
2θ = 36.62°, d 2.454, rel. 91, (1 0 3)
2θ = 37.55°, d 2.395, rel. 100, (1 1 2)
2θ = 46.14°, d 1.968, rel. 52, (2 0 0)
2θ = 53.97°, d 1.699, rel. 30, (1 0 5)
2θ = 60.29°, d 1.535, rel. 42, (2 1 3)
2θ = 67.30°, d 1.391, rel. 16, (2 2 0)
2θ = 68.66°, d 1.367, rel. 15, (1 1 6)

What is the formula in the second record? Dy2BeSi3Ni4